Structure and computed X-ray powder pattern of La2Cu2Pb5 (a crystal structure in Alexandria, relaxed with GGA-PBE; Cu Kα).

Peak list (8 most intense, 2θ from 10° to 90°, by intensity)
29.4°, intensity 100; 31.0°, intensity 66; 37.6°, intensity 41; 28.5°, intensity 24; 33.0°, intensity 23; 34.2°, intensity 21; 38.4°, intensity 20; 63.1°, intensity 17

Crystal structure
```
data_La2Cu2Pb5
_space_group_name_H-M_alt 'P 1'
_space_group_IT_number 1
_space_group_name_Hall 'P 1'
_cell_length_a 7.484
_cell_length_b 13.816
_cell_length_c 4.790
_cell_angle_alpha 90.00
_cell_angle_beta 90.00
_cell_angle_gamma 90.00
loop_
_atom_site_label
_atom_site_type_symbol
_atom_site_fract_x
_atom_site_fract_y
_atom_site_fract_z
La1 La 0.086 0.176 0.000
La2 La 0.414 0.676 0.000
La3 La 0.586 0.324 0.000
La4 La 0.914 0.824 0.000
Cu1 Cu 0.228 0.836 0.500
Cu2 Cu 0.272 0.336 0.500
Cu3 Cu 0.728 0.664 0.500
Cu4 Cu 0.772 0.164 0.500
Pb1 Pb 0.000 0.000 0.500
Pb2 Pb 0.098 0.655 0.500
Pb3 Pb 0.172 0.436 0.000
Pb4 Pb 0.328 0.936 0.000
Pb5 Pb 0.402 0.155 0.500
Pb6 Pb 0.500 0.500 0.500
Pb7 Pb 0.598 0.845 0.500
Pb8 Pb 0.672 0.064 0.000
Pb9 Pb 0.828 0.564 0.000
Pb10 Pb 0.902 0.345 0.500
```